For Pa2Ni5P4, DFT lattice parameters and positions (PBE) gives the computed X-ray diffraction stick pattern in this record (Cu Kα).
No peak broadening, texture or thermal motion is included.

Top 10 peaks for 2θ = 10–80°, by angle:
Position (°2θ), d (Å), intensity, h k l
20.6, 4.320, 29.1, 1 1 1
28.3, 3.151, 100.0, 1 1 3
33.6, 2.670, 56.7, 0 2 4
34.2, 2.620, 28.9, 1 3 1
38.6, 2.330, 28.8, 0 4 0
39.4, 2.289, 65.9, 2 2 0
39.6, 2.277, 76.9, 1 3 3
44.3, 2.045, 42.6, 2 0 4
56.5, 1.629, 29.1, 0 0 8
64.7, 1.440, 18.1, 3 3 3

Cell and atoms:
Unit cell a=5.257 b=9.321 c=13.028 alpha=90.00 beta=90.00 gamma=90.00
Space group Fmmm (No. 69)
Unique sites:
Pa: 0.000 0.000 0.145 x8
Ni: 0.000 0.000 0.500 x4
Ni: 0.250 0.250 0.000 x8
Ni: 0.250 0.250 0.250 x8
P: 0.000 0.148 0.367 x16

For PaNi3P2, DFT lattice parameters and positions (PBE) gives the computed X-ray diffraction stick pattern in this record (Cu Kα).
No peak broadening, texture or thermal motion is included.

Top 10 peaks for 2θ = 10–80°, by angle:
Position (°2θ), d (Å), intensity, h k l
24.9, 3.574, 27.3, 4 0 -1
27.0, 3.307, 41.8, 1 1 -1
27.5, 3.247, 23.2, 4 0 0
30.6, 2.923, 25.6, 3 1 -1
36.1, 2.487, 52.9, 1 1 -2
37.7, 2.388, 28.4, 2 0 2
38.5, 2.341, 100.0, 3 1 1
40.5, 2.226, 24.8, 2 0 -3
42.1, 2.148, 58.6, 5 1 -2
47.9, 1.898, 34.3, 0 2 0

Cell and atoms:
Unit cell a=14.391 b=3.797 c=6.736 alpha=90.00 beta=115.51 gamma=90.00
Space group C2/m (No. 12)
Unique sites:
Pa: 0.150 0.000 0.070 x4
Ni: 0.044 0.000 0.371 x4
Ni: 0.106 0.500 0.702 x4
Ni: 0.184 0.500 0.434 x4
P: 0.018 0.500 0.181 x4
P: 0.191 0.000 0.681 x4

For Pa2Ni2P3, DFT lattice parameters and positions (PBE) gives the computed X-ray diffraction stick pattern in this record (Cu Kα).
No peak broadening, texture or thermal motion is included.

Top 10 peaks for 2θ = 10–80°, by angle:
Position (°2θ), d (Å), intensity, h k l
22.3, 3.984, 82.3, 1 1 0
23.4, 3.794, 43.7, 1 0 -2
29.3, 3.050, 81.6, 2 0 -2
31.9, 2.807, 31.4, 2 1 -1
32.4, 2.767, 100.0, 0 1 2
32.8, 2.733, 40.9, 0 2 1
32.8, 2.727, 87.9, 1 2 -1
34.1, 2.632, 39.5, 2 0 0
37.2, 2.416, 44.5, 2 1 0
41.9, 2.156, 30.8, 2 2 -2

Cell and atoms:
Unit cell a=6.431 b=6.096 c=7.589 alpha=90.00 beta=125.08 gamma=90.00
Space group P2_1/c (No. 14)
Unique sites:
Pa: 0.202 0.174 0.405 x4
Ni: 0.344 0.683 0.558 x4
P: 0.000 0.000 0.000 x2
P: 0.331 0.571 0.266 x4

For ScPaNi2P2, DFT lattice parameters and positions (PBE) gives the computed X-ray diffraction stick pattern in this record (Cu Kα).
No peak broadening, texture or thermal motion is included.

Top 10 peaks for 2θ = 10–80°, by angle:
Position (°2θ), d (Å), intensity, h k l
11.9, 7.438, 49.4, 0 0 1
26.7, 3.336, 23.3, 1 0 0
29.3, 3.044, 44.6, 1 0 1
36.2, 2.483, 100.0, 1 0 2
45.6, 1.990, 14.0, 0 1 3
47.2, 1.926, 35.5, 1 1 0
48.8, 1.865, 10.4, 1 1 1
49.0, 1.860, 10.2, 0 0 4
60.9, 1.522, 26.5, 0 2 2
70.4, 1.338, 20.3, 1 1 4

Cell and atoms:
Unit cell a=3.8524 b=3.8524 c=7.4383 alpha=90.00 beta=90.00 gamma=120.00
Space group P-3m1 (No. 164)
Unique sites:
Sc: 0.0000 0.0000 0.0000 x1
Pa: 0.0000 0.0000 0.5000 x1
Ni: 0.3333 0.6667 0.2568 x2
P: 0.3333 0.6667 0.7673 x2

For Pm2Ni12P3Pd, DFT lattice parameters and positions (PBE) gives the computed X-ray diffraction stick pattern in this record (Cu Kα).
No peak broadening, texture or thermal motion is included.

Top 10 peaks for 2θ = 10–80°, by angle:
Position (°2θ), d (Å), intensity, h k l
22.9, 3.877, 20.0, 0 0 3
31.0, 2.885, 38.1, 1 1 3
41.8, 2.160, 100.0, 2 2 0
43.1, 2.098, 15.3, 0 3 3
45.9, 1.975, 40.9, 2 0 5
48.2, 1.887, 16.6, 2 2 3
63.9, 1.458, 14.4, 0 4 5
64.6, 1.443, 11.0, 2 2 6
76.4, 1.247, 15.5, 6 0 0
79.3, 1.208, 14.9, 4 2 5

Cell and atoms:
Unit cell a=8.6403 b=8.6403 c=11.6304 alpha=90.00 beta=90.00 gamma=120.00
Space group R-3m (No. 166, hexagonal axes)
Unique sites:
Pm: 0.0000 0.0000 0.1834 x6
Ni: 0.0030 0.5015 0.1851 x18
Ni: 0.0033 0.5017 0.6141 x18
P: 0.0000 0.5000 0.0000 x9
Pd: 0.0000 0.0000 0.5000 x3

For NiP2PdS, DFT lattice parameters and positions (PBE) gives the computed X-ray diffraction stick pattern in this record (Cu Kα).
No peak broadening, texture or thermal motion is included.

Top 10 peaks for 2θ = 10–80°, by angle:
Position (°2θ), d (Å), intensity, h k l
28.4, 3.144, 100.0, 1 0 1
29.5, 3.031, 48.8, 1 1 0
35.4, 2.535, 53.0, 1 1 1
38.9, 2.313, 38.4, 0 0 2
42.2, 2.143, 60.5, 2 0 0
49.6, 1.839, 22.5, 1 1 2
51.6, 1.771, 37.8, 2 1 1
58.7, 1.572, 43.3, 2 0 2
61.2, 1.515, 19.1, 2 2 0
74.9, 1.268, 20.7, 2 2 2

Cell and atoms:
Unit cell a=4.286 b=4.286 c=4.627 alpha=90.00 beta=90.00 gamma=90.00
Space group P4/mmm (No. 123)
Unique sites:
Ni: 0.000 0.000 0.000 x1
P: 0.000 0.500 0.000 x2
Pd: 0.500 0.500 0.500 x1
S: 0.000 0.000 0.500 x1

For Pm2Ni3P2, DFT lattice parameters and positions (PBE) gives the computed X-ray diffraction stick pattern in this record (Cu Kα).
No peak broadening, texture or thermal motion is included.

Top 10 peaks for 2θ = 10–80°, by angle:
Position (°2θ), d (Å), intensity, h k l
27.4, 3.255, 44.4, 1 1 -1
29.9, 2.988, 37.7, 2 0 1
32.3, 2.775, 50.8, 1 1 1
35.4, 2.536, 100.0, 3 1 -1
36.1, 2.487, 48.9, 1 1 -2
36.5, 2.464, 48.5, 4 0 -2
39.0, 2.310, 42.4, 3 1 -2
40.0, 2.253, 45.1, 2 0 -3
43.6, 2.074, 66.7, 1 1 2
48.8, 1.867, 39.7, 0 2 0

Cell and atoms:
Unit cell a=10.370 b=3.734 c=6.768 alpha=90.00 beta=118.62 gamma=90.00
Space group C2/m (No. 12)
Unique sites:
Pm: 0.131 0.000 0.266 x4
Ni: 0.000 0.500 0.500 x2
Ni: 0.150 0.500 0.923 x4
P: 0.149 0.000 0.724 x4

For Pm3Ni6P5, DFT lattice parameters and positions (PBE) gives the computed X-ray diffraction stick pattern in this record (Cu Kα).
No peak broadening, texture or thermal motion is included.

Top 10 peaks for 2θ = 10–80°, by angle:
Position (°2θ), d (Å), intensity, h k l
24.7, 3.611, 23.9, 0 3 1
25.0, 3.556, 22.7, 1 0 1
32.8, 2.733, 16.4, 1 3 0
36.4, 2.466, 37.8, 0 3 3
36.7, 2.448, 38.1, 1 0 3
37.9, 2.372, 100.0, 1 3 2
46.6, 1.950, 20.4, 0 6 0
47.5, 1.915, 24.6, 2 0 0
53.6, 1.709, 16.9, 1 0 5
68.2, 1.375, 18.9, 1 3 6

Cell and atoms:
Unit cell a=3.831 b=11.701 c=9.547 alpha=90.00 beta=90.00 gamma=90.00
Space group Pmmn (No. 59, origin choice 2)
Unique sites:
Pm: 0.250 0.091 0.248 x4
Pm: 0.250 0.750 0.249 x2
Ni: 0.250 0.064 0.890 x4
Ni: 0.250 0.250 0.007 x2
Ni: 0.250 0.250 0.513 x2
Ni: 0.250 0.578 0.492 x4
P: 0.250 0.079 0.643 x4
P: 0.250 0.619 0.990 x4
P: 0.250 0.750 0.612 x2

For Pm2Ni4P3Pt, DFT lattice parameters and positions (PBE) gives the computed X-ray diffraction stick pattern in this record (Cu Kα).
No peak broadening, texture or thermal motion is included.

Top 10 peaks for 2θ = 10–80°, by angle:
Position (°2θ), d (Å), intensity, h k l
24.2, 3.682, 25.7, 1 0 1
29.0, 3.081, 11.6, 1 0 2
35.7, 2.516, 35.7, 1 0 3
36.9, 2.436, 100.0, 1 1 2
45.6, 1.988, 36.4, 2 0 0
52.3, 1.750, 23.6, 1 0 5
59.2, 1.560, 16.3, 2 1 3
66.5, 1.406, 21.5, 2 2 0
71.9, 1.314, 16.7, 2 1 5
78.6, 1.218, 27.0, 0 0 8

Cell and atoms:
Unit cell a=3.976 b=3.976 c=9.748 alpha=90.00 beta=90.00 gamma=90.00
Space group P-4m2 (No. 115)
Unique sites:
Pm: 0.000 0.500 0.245 x2
Ni: 0.000 0.000 0.000 x1
Ni: 0.000 0.500 0.649 x2
Ni: 0.500 0.500 0.000 x1
P: 0.000 0.500 0.876 x2
P: 0.500 0.500 0.500 x1
Pt: 0.000 0.000 0.500 x1

For Pm2Ni12P3Pt, DFT lattice parameters and positions (PBE) gives the computed X-ray diffraction stick pattern in this record (Cu Kα).
No peak broadening, texture or thermal motion is included.

Top 10 peaks for 2θ = 10–80°, by angle:
Position (°2θ), d (Å), intensity, h k l
16.9, 5.232, 21.3, 0 1 2
28.1, 3.170, 72.7, 1 1 3
29.2, 3.054, 58.5, 0 1 5
34.3, 2.616, 82.9, 0 2 4
37.6, 2.391, 36.6, 1 2 2
37.8, 2.381, 37.1, 2 0 5
44.2, 2.050, 25.5, 3 0 3
47.9, 1.901, 100.0, 2 2 0
50.6, 1.803, 71.9, 2 0 8
72.2, 1.308, 20.5, 0 4 8

Cell and atoms:
Unit cell a=7.6022 b=7.6022 c=17.2352 alpha=90.00 beta=90.00 gamma=120.00
Space group R-3m (No. 166, hexagonal axes)
Unique sites:
Pm: 0.0000 0.0000 0.1092 x6
Ni: 0.0108 0.5054 0.8771 x18
Ni: 0.0375 0.5187 0.3607 x18
P: 0.0000 0.5000 0.0000 x9
Pt: 0.0000 0.0000 0.5000 x3

For PmNi2PPt2, DFT lattice parameters and positions (PBE) gives the computed X-ray diffraction stick pattern in this record (Cu Kα).
No peak broadening, texture or thermal motion is included.

Top 10 peaks for 2θ = 10–80°, by angle:
Position (°2θ), d (Å), intensity, h k l
20.7, 4.289, 31.6, 1 0 0
29.5, 3.033, 61.2, 1 1 0
33.6, 2.666, 38.9, 1 1 1
38.4, 2.343, 100.0, 1 0 2
42.1, 2.144, 60.3, 2 0 0
44.0, 2.056, 24.1, 1 1 2
58.3, 1.582, 59.7, 2 1 2
61.1, 1.516, 19.9, 2 2 0
69.3, 1.356, 11.3, 3 1 0
74.5, 1.273, 14.6, 3 0 2

Cell and atoms:
Unit cell a=4.289 b=4.289 c=5.593 alpha=90.00 beta=90.00 gamma=90.00
Space group P4/mmm (No. 123)
Unique sites:
Pm: 0.000 0.000 0.000 x1
Ni: 0.000 0.500 0.500 x2
P: 0.000 0.000 0.500 x1
Pt: 0.500 0.500 0.233 x2

For PmTcNiP2, DFT lattice parameters and positions (PBE) gives the computed X-ray diffraction stick pattern in this record (Cu Kα).
No peak broadening, texture or thermal motion is included.

Top 10 peaks for 2θ = 10–80°, by angle:
Position (°2θ), d (Å), intensity, h k l
24.5, 3.639, 37.4, 1 0 1
31.8, 2.817, 25.5, 0 0 4
33.4, 2.687, 56.4, 1 0 3
36.7, 2.448, 100.0, 1 1 2
46.7, 1.944, 17.0, 1 0 5
47.3, 1.922, 35.8, 2 0 0
58.1, 1.588, 18.1, 2 0 4
59.1, 1.563, 21.2, 2 1 3
59.9, 1.545, 28.2, 1 1 6
69.1, 1.359, 11.2, 2 2 0

Cell and atoms:
Unit cell a=3.845 b=3.845 c=11.267 alpha=90.00 beta=90.00 gamma=90.00
Space group I-4m2 (No. 119)
Unique sites:
Pm: 0.000 0.000 0.000 x2
Tc: 0.000 0.500 0.250 x2
Ni: 0.000 0.500 0.750 x2
P: 0.000 0.000 0.365 x4

Question: Number 1 is which compound?
Answer: Pa2Ni5P4